No. 1
Theoretical powder diffractogram of LaTbY2Tm2 for Cu Kα (weighted mean of Kα1 and Kα2), from a structure optimized by DFT (GGA-PBE).

```
LaTbY2Tm2
1.0
6.4986 0.0000 0.0000
0.0000 18.0069 0.0000
0.0000 0.0000 3.4025
La Tb Y Tm
2 2 4 4
Cartesian
0.0000 0.0000 0.0000 La
3.2493 9.0034 1.7013 La
0.0000 9.0034 0.0000 Tb
3.2493 0.0000 1.7013 Tb
1.3936 3.4258 0.0000 Y
1.8557 12.4293 1.7013 Y
4.6429 5.5776 1.7013 Y
5.1050 14.5811 0.0000 Y
1.3777 6.3667 1.7013 Tm
1.8716 15.3701 0.0000 Tm
4.6271 2.6368 0.0000 Tm
5.1209 11.6402 1.7013 Tm
```

Main lines, in order of rising 2θ (2θ from 15° to 90°):
| d_spacing | 2theta | intensity |
| --- | --- | --- |
| 5.269 | 16.83 | 554 |
| 3.343 | 26.66 | 323 |
| 3.056 | 29.22 | 1000 |
| 3.001 | 29.77 | 829 |
| 2.960 | 30.19 | 928 |
| 2.858 | 31.29 | 562 |
| 2.725 | 32.87 | 397 |
| 2.635 | 34.03 | 797 |
| 2.505 | 35.85 | 635 |
| 2.188 | 41.26 | 524 |
| 2.127 | 42.50 | 348 |
| 1.429 | 65.29 | 348 |

No. 2
Theoretical powder diffractogram of CsDy2Cu3Se5 for Cu Kα (weighted mean of Kα1 and Kα2), from a structure optimized by DFT (GGA-PBE).

```
CsDy2Cu3Se5
1.0
2.0725 -7.3622 0.0000
2.0725 7.3622 0.0000
0.0000 0.0000 17.4508
Cs Dy Cu Se
2 4 6 10
Cartesian
2.0725 6.4710 13.0881 Cs
2.0725 -6.4710 4.3627 Cs
2.0725 4.5335 1.5903 Dy
2.0725 4.5335 7.1351 Dy
2.0725 -4.5335 10.3157 Dy
2.0725 -4.5335 15.8605 Dy
2.0725 2.3403 13.0881 Cu
2.0725 1.2482 0.5233 Cu
2.0725 1.2482 8.2021 Cu
2.0725 -1.2482 9.2487 Cu
2.0725 -1.2482 16.9275 Cu
2.0725 -2.3403 4.3627 Cu
2.0725 4.8890 9.9491 Se
2.0725 4.8890 16.2272 Se
2.0725 3.8568 4.3627 Se
2.0725 0.8931 10.6757 Se
2.0725 0.8931 15.5005 Se
2.0725 -0.8931 1.9503 Se
2.0725 -0.8931 6.7751 Se
2.0725 -3.8568 13.0881 Se
2.0725 -4.8890 1.2237 Se
2.0725 -4.8890 7.5018 Se
```

Main lines, in order of rising 2θ (2θ from 15° to 90°):
| d_spacing | 2theta | intensity |
| --- | --- | --- |
| 3.602 | 24.72 | 312 |
| 3.167 | 28.18 | 646 |
| 3.116 | 28.65 | 1000 |
| 2.977 | 30.02 | 751 |
| 2.908 | 30.74 | 886 |
| 2.563 | 35.01 | 682 |
| 2.401 | 37.46 | 548 |
| 2.315 | 38.91 | 386 |
| 2.141 | 42.20 | 392 |
| 2.073 | 43.67 | 676 |
| 1.959 | 46.35 | 717 |
| 1.688 | 54.36 | 350 |

No. 3
Theoretical powder diffractogram of BaNa2NpBr8 for Cu Kα (weighted mean of Kα1 and Kα2), from a structure optimized by DFT (GGA-PBE).

```
BaNa2NpBr8
1.0
6.9639 0.0000 0.0000
0.0000 9.3531 0.0000
-0.1440 0.0000 7.0818
Ba Na Np Br
1 2 1 8
Cartesian
0.0000 0.0000 0.0000 Ba
3.4100 2.2168 3.5409 Na
3.4100 7.1363 3.5409 Na
0.0000 4.6765 0.0000 Np
1.4263 2.6823 5.9121 Br
1.4263 6.6708 5.9121 Br
1.6997 4.6765 2.1833 Br
1.8990 0.0000 2.4708 Br
4.9209 0.0000 4.6109 Br
5.1202 4.6765 4.8985 Br
5.3936 2.6823 1.1697 Br
5.3936 6.6708 1.1697 Br
```

Main lines, in order of rising 2θ (2θ from 15° to 90°):
| d_spacing | 2theta | intensity |
| --- | --- | --- |
| 5.016 | 17.68 | 382 |
| 4.915 | 18.05 | 345 |
| 4.677 | 18.98 | 179 |
| 3.882 | 22.91 | 205 |
| 3.421 | 26.05 | 1000 |
| 3.131 | 28.51 | 399 |
| 2.612 | 34.33 | 373 |
| 2.583 | 34.72 | 292 |
| 2.458 | 36.56 | 173 |
| 2.338 | 38.50 | 229 |
| 2.108 | 42.91 | 413 |
| 1.985 | 45.71 | 207 |

No. 4
Theoretical powder diffractogram of La6ZnTc for Cu Kα (weighted mean of Kα1 and Kα2), from a structure optimized by DFT (GGA-PBE).

```
La6ZnTc
1.0
-2.5905 2.5905 9.1964
2.5905 -2.5905 9.1964
2.5905 2.5905 -9.1964
La Zn Tc
6 1 1
Cartesian
2.5905 0.0000 1.7714 La
0.0000 0.0000 4.5475 La
2.5905 0.0000 7.4250 La
0.0000 2.5905 1.7714 La
0.0000 0.0000 13.8453 La
0.0000 2.5905 7.4250 La
0.0000 0.0000 0.0000 Zn
0.0000 0.0000 9.1964 Tc
```

Main lines, in order of rising 2θ (2θ from 15° to 90°):
| d_spacing | 2theta | intensity |
| --- | --- | --- |
| 3.403 | 26.18 | 184 |
| 3.065 | 29.13 | 138 |
| 2.865 | 31.22 | 1000 |
| 2.590 | 34.63 | 509 |
| 2.351 | 38.28 | 115 |
| 1.979 | 45.86 | 160 |
| 1.832 | 49.78 | 181 |
| 1.720 | 53.27 | 79 |
| 1.644 | 55.94 | 104 |
| 1.543 | 59.94 | 306 |
| 1.223 | 78.12 | 78 |
| 1.158 | 83.43 | 80 |

No. 5
Theoretical powder diffractogram of BaBeO2 for Cu Kα (weighted mean of Kα1 and Kα2), from a structure optimized by DFT (GGA-PBE).

```
BaBeO2
1.0
4.0514 -4.0579 0.0000
4.0514 4.0579 0.0000
0.0000 0.0000 4.3338
Ba Be O
2 2 4
Cartesian
2.0257 2.0289 0.0000 Ba
2.0257 -2.0289 2.1669 Ba
0.0000 0.0000 1.0834 Be
0.0000 0.0000 3.2503 Be
0.8852 0.8829 2.1669 O
7.2176 -0.8829 2.1669 O
0.8852 -0.8829 0.0000 O
7.2176 0.8829 0.0000 O
```

Main lines, in order of rising 2θ (2θ from 15° to 90°):
| d_spacing | 2theta | intensity |
| --- | --- | --- |
| 4.055 | 21.92 | 738 |
| 3.457 | 25.77 | 1000 |
| 2.867 | 31.20 | 432 |
| 2.207 | 40.89 | 940 |
| 2.167 | 41.68 | 123 |
| 1.911 | 47.58 | 234 |
| 1.813 | 50.32 | 197 |
| 1.729 | 52.97 | 158 |
| 1.493 | 62.18 | 226 |
| 1.391 | 67.33 | 196 |
| 1.324 | 71.21 | 130 |
| 1.259 | 75.54 | 146 |